1.
Simulated powder XRD pattern
Compound: LiYF4
Radiation: CuKα
Structure: a PBE-relaxed structure
Intensities are scaled so that the largest is 100.

Crystal structure
```
12
Lattice="-2.6267 2.6267 5.4297 2.6267 -2.6267 5.4297 2.6267 2.6267 -5.4297" Properties=species:S:1:pos:R:3 pbc="T T T"
Li 0.0000 1.3134 1.3574
Li 2.6267 1.3134 4.0723
Y 2.6267 1.3134 -1.3574
Y 0.0000 1.3134 6.7871
F 1.4831 0.4398 0.4758
F 1.7531 2.4570 -3.1907
F 1.7531 -0.1697 3.1907
F 1.1437 -0.4398 5.9055
F 1.4831 3.0665 -0.4758
F 0.8736 2.7964 2.2390
F 0.8736 0.1697 8.6203
F 1.1437 2.1869 4.9539
```

Main lines, sorted by position (2θ = 5–70°):
d_spacing	Position (°2θ)	intensity
4.729	18.76	100.0
3.066	29.13	70.8
2.981	29.98	12.5
2.296	39.23	37.4
2.007	45.17	14.7
1.971	46.06	27.1
1.888	48.21	28.7
1.857	49.05	16.0
1.627	56.56	13.1
1.589	58.06	25.3

2.
Simulated powder XRD pattern
Compound: Ho2MgRu
Radiation: CuKα
Structure: a PBE-relaxed structure
Intensities are scaled so that the largest is 100.

Crystal structure
```
4
Lattice="0.0000 3.5383 3.5383 3.5383 0.0000 3.5383 3.5383 3.5383 0.0000" Properties=species:S:1:pos:R:3 pbc="T T T"
Ho 1.7691 1.7691 1.7691
Ho 5.3074 5.3074 5.3074
Mg 0.0000 0.0000 0.0000
Ru 3.5383 3.5383 3.5383
```

Main lines, sorted by position (2θ = 5–70°):
d_spacing	Position (°2θ)	intensity
4.086	21.75	7.1
3.538	25.17	22.9
2.502	35.89	100.0
2.134	42.36	3.6
2.043	44.34	7.0
1.769	51.67	17.6
1.623	56.70	1.5
1.582	58.31	9.5
1.444	64.51	36.0
1.362	68.95	1.1

3.
Simulated powder XRD pattern
Compound: UPO10
Radiation: CuKα
Structure: a PBE-relaxed structure
Intensities are scaled so that the largest is 100.

Crystal structure
```
48
Lattice="7.0639 0.0000 0.0000 0.0000 7.0639 0.0000 0.0000 0.0000 15.9391" Properties=species:S:1:pos:R:3 pbc="T T T"
U 1.7660 1.7660 0.8371
U 1.7660 1.7660 8.8067
U 5.2980 5.2980 7.1325
U 5.2980 5.2980 15.1020
P 1.7660 5.2980 0.0000
P 1.7660 5.2980 7.9696
P 5.2980 1.7660 0.0000
P 5.2980 1.7660 7.9696
O 0.3172 4.5256 3.6110
O 0.3172 6.0703 11.5806
O 0.5046 5.1351 7.0839
O 0.5046 5.4608 15.0535
O 0.9936 3.8492 4.3585
O 0.9936 6.7468 12.3281
O 1.6031 4.0365 0.8856
O 1.6031 6.5594 8.8552
O 1.7660 1.7660 2.6600
O 1.7660 1.7660 6.9862
O 1.7660 1.7660 10.6295
O 1.7660 1.7660 14.9558
O 1.9289 4.0365 8.8552
O 1.9289 6.5594 0.8856
O 2.5383 3.8492 12.3281
O 2.5383 6.7468 4.3585
O 3.0274 5.1351 15.0535
O 3.0274 5.4608 7.0839
O 3.2148 4.5256 11.5806
O 3.2148 6.0703 3.6110
O 3.8492 0.9936 12.3281
O 3.8492 2.5383 4.3585
O 4.0365 1.6031 8.8552
O 4.0365 1.9289 0.8856
O 4.5256 0.3172 11.5806
O 4.5256 3.2148 3.6110
O 5.1351 0.5046 15.0535
O 5.1351 3.0274 7.0839
O 5.2980 5.2980 0.9834
O 5.2980 5.2980 5.3096
O 5.2980 5.2980 8.9529
O 5.2980 5.2980 13.2792
O 5.4608 0.5046 7.0839
O 5.4608 3.0274 15.0535
O 6.0703 0.3172 3.6110
O 6.0703 3.2148 11.5806
O 6.5594 1.6031 0.8856
O 6.5594 1.9289 8.8552
O 6.7468 0.9936 4.3585
O 6.7468 2.5383 12.3281
```

Main lines, sorted by position (2θ = 5–70°):
d_spacing	Position (°2θ)	intensity
7.970	11.10	100.0
5.286	16.77	88.1
4.995	17.76	56.2
4.232	20.99	45.9
3.532	25.21	61.3
3.471	25.67	67.5
3.229	27.62	73.6
2.937	30.44	30.2
2.476	36.29	24.5
2.234	40.38	32.8

4.
Simulated powder XRD pattern
Compound: CaAl2O2F6
Radiation: CuKα
Structure: a PBE-relaxed structure
Intensities are scaled so that the largest is 100.

Crystal structure
```
22
Lattice="3.3667 -5.6339 0.0000 3.3667 5.6339 0.0000 -0.4948 0.0000 7.6157" Properties=species:S:1:pos:R:3 pbc="T T T"
Ca 2.9957 5.2561 5.7118
Ca 3.2430 -5.2561 1.9039
Al 1.6834 2.8170 0.0000
Al 2.9957 1.4881 5.7118
Al 1.4360 -2.8170 3.8079
Al 3.2430 -1.4881 1.9039
O 1.8007 3.0307 5.7975
O 4.1906 3.0307 5.6261
O 2.0481 -3.0307 1.9897
O 4.4380 -3.0307 1.8182
F 2.8230 4.2363 0.2816
F 3.6630 4.2363 3.5263
F 1.7037 0.3713 5.3898
F 2.6432 1.6925 7.5708
F 1.9511 -0.3713 1.5819
F 3.3481 1.6925 3.8528
F 2.8906 -1.6925 3.7629
F 4.2876 0.3713 6.0338
F 3.5955 -1.6925 0.0449
F 4.5350 -0.3713 2.2259
F 2.5757 -4.2363 4.0894
F 3.4157 -4.2363 7.3342
```

Main lines, sorted by position (2θ = 5–70°):
d_spacing	Position (°2θ)	intensity
4.481	19.81	100.0
3.279	27.20	14.6
3.155	28.29	26.7
3.047	29.32	10.3
2.373	37.92	21.2
2.265	39.80	15.3
2.159	41.85	20.1
1.924	47.25	15.0
1.904	47.77	21.6
1.841	49.52	13.0